Diffraction record for Na3Mn. The X-ray diffraction stick pattern is computed, not measured: it uses a DFT-relaxed cell (PBE, the Materials Project) and Cu Kα (λ = 1.5418 Å).
Intensities are scaled so that the largest is 1000.

```
8
Lattice="4.7672 0.0000 0.0000 0.0000 4.7672 0.0000 0.0000 0.0000 10.2264" Properties=species:S:1:pos:R:3 pbc="T T T"
Na 0.0000 0.0000 0.0000
Na 0.0000 2.3836 2.5566
Na 0.0000 2.3836 7.6698
Na 2.3836 0.0000 2.5566
Na 2.3836 0.0000 7.6698
Na 2.3836 2.3836 5.1132
Mn 0.0000 0.0000 5.1132
Mn 2.3836 2.3836 0.0000
```

Principal peaks in the range 2θ = 10–80°, low angle first:
2θ (°), intensity, h k l
20.56, 188, 1 0 1
31.80, 1000, 1 1 2
35.10, 190, 0 0 4
37.74, 307, 2 0 0
52.49, 219, 2 0 4
64.44, 219, 3 1 2